The following is a computed X-ray powder pattern of Li2Mg3Sn3. It was derived from a structure optimized by DFT (GGA-PBE), using CuKα.
No peak broadening, texture or thermal motion is included.

Largest 8 diffraction maxima, in order of rising 2θ, 2θ = 10–80°:
d [Å]	I (rel.)
4.257	56.5
3.687	43.9
3.402	100.0
2.828	45.5
2.500	99.2
2.356	31.0
2.244	26.9
1.923	63.5

Structural model:
a b c (Å): 8.515 8.515 5.657
angles (deg): 90.00 90.00 120.00
Positions (direct):
Li1 0.333 0.667 0.000
Li2 0.333 0.667 0.500
Li3 0.667 0.333 0.000
Li4 0.667 0.333 0.500
Mg1 0.000 0.233 0.250
Mg2 0.000 0.767 0.750
Mg3 0.233 0.000 0.250
Mg4 0.233 0.233 0.750
Mg5 0.767 0.000 0.750
Mg6 0.767 0.767 0.250
Sn1 0.000 0.403 0.750
Sn2 0.000 0.597 0.250
Sn3 0.403 0.000 0.750
Sn4 0.403 0.403 0.250
Sn5 0.597 0.000 0.250
Sn6 0.597 0.597 0.750



The following is a computed X-ray powder pattern of Pr2PuPaN5. It was derived from a structure optimized by DFT (GGA-PBE), using CuKα.
No peak broadening, texture or thermal motion is included.

Largest 8 diffraction maxima, in order of rising 2θ, 2θ = 10–80°:
d [Å]	I (rel.)
3.009	100.0
2.882	54.6
2.230	12.9
2.038	23.3
1.764	22.0
1.687	38.9
1.504	14.7
1.289	9.4

Structural model:
a b c (Å): 4.076 4.076 8.920
angles (deg): 90.00 90.00 90.00
Positions (direct):
Pr1 0.000 0.000 0.223
Pr2 0.000 0.000 0.777
Pu1 0.500 0.500 0.000
Pa1 0.500 0.500 0.500
N1 0.000 0.000 0.500
N2 0.000 0.500 0.000
N3 0.500 0.000 0.000
N4 0.500 0.500 0.271
N5 0.500 0.500 0.729